The following is a theoretical powder XRD pattern of InBi5Au4. It was derived from a crystal structure in Alexandria, relaxed with GGA-PBE, using Cu Ka.
Kinematic intensities with the Lorentz-polarization factor, no thermal factor.

Most intense lines, 10 to 80 degrees two-theta, low angle first:
- 2θ 31.70, intensity 79, (6 0 0)
- 2θ 31.99, intensity 100, (1 1 -2)
- 2θ 34.86, intensity 32, (3 1 -2)
- 2θ 36.51, intensity 21, (3 1 2)
- 2θ 41.77, intensity 25, (2 0 4)
- 2θ 42.95, intensity 51, (5 1 2)
- 2θ 43.15, intensity 25, (4 0 -4)
- 2θ 48.24, intensity 27, (7 1 -2)
- 2θ 51.37, intensity 20, (0 2 0)
- 2θ 61.63, intensity 22, (6 2 0)

Crystal structure
abc: 17.010 3.557 9.203
angles: 90.00 95.24 90.00
Space group C2/m (No. 12)
Unique sites:
In1 0.000 0.000 0.000 x2
Bi1 0.000 0.000 0.500 x2
Bi2 0.164 0.500 0.882 x4
Bi3 0.166 0.500 0.400 x4
Au1 0.004 0.500 0.239 x4
Au2 0.160 0.000 0.140 x4